No. 1
For Li2CoNi2O6, a crystal structure in the Materials Project, relaxed with GGA+U gives the simulated powder XRD pattern in this record (Cu Kα X-rays).

The 10 most intense peaks (2θ from 10° to 80°), in order of rising 2θ:
d_spacing, two_theta, intensity, index
4.936, 17.97, 100, 2 0 0
2.480, 36.22, 8, 0 2 0
2.468, 36.40, 5, 4 0 0
2.354, 38.23, 29, 1 1 3
2.216, 40.71, 16, 2 2 0
2.176, 41.50, 6, 2 1 3
1.952, 46.53, 30, 3 1 3
1.749, 52.29, 12, 4 2 0
1.531, 60.47, 17, 5 1 3
1.406, 66.48, 14, 1 3 3

abc: 9.872 4.960 8.336
angles: 90.00 90.00 90.00
Space group Aea2 (No. 41)
Inequivalent atoms, fractional coordinates:
Li: 0.249 0.104 0.000 x8
Co: 0.000 0.000 0.747 x4
Ni: 0.000 0.000 0.085 x4
Ni: 0.000 0.000 0.413 x4
O: 0.097 0.329 0.749 x8
O: 0.100 0.329 0.417 x8
O: 0.107 0.356 0.076 x8

No. 2
For Li2CoNiO4, a crystal structure in the Materials Project, relaxed with GGA+U gives the simulated powder XRD pattern in this record (Cu Kα X-rays).

The 10 most intense peaks (2θ from 10° to 80°), in order of rising 2θ:
d_spacing, two_theta, intensity, index
4.836, 18.35, 100, 2 0 0
2.526, 35.54, 32, 1 1 -1
2.453, 36.63, 13, 0 0 2
2.399, 37.49, 11, 1 1 1
2.107, 42.93, 53, 3 1 -1
2.029, 44.66, 23, 2 0 2
1.903, 47.80, 10, 3 1 1
1.624, 56.69, 10, 5 1 -1
1.468, 63.37, 13, 5 1 1
1.456, 63.96, 13, 1 1 -3

abc: 9.875 2.975 5.010
angles: 90.00 101.63 90.00
Space group C2/m (No. 12)
Inequivalent atoms, fractional coordinates:
Li: 0.247 0.000 0.250 x4
Co: 0.000 0.500 0.000 x2
Ni: 0.000 0.000 0.500 x2
O: 0.114 0.500 0.347 x4
O: 0.115 0.000 0.883 x4

No. 3
For LiCo3NiO8, a crystal structure in the Materials Project, relaxed with GGA+U gives the simulated powder XRD pattern in this record (Cu Kα X-rays).

The 10 most intense peaks (2θ from 10° to 80°), in order of rising 2θ:
d_spacing, two_theta, intensity, index
5.015, 17.69, 100, 0 0 2
2.438, 36.87, 19, 0 2 0
2.426, 37.05, 9, 2 -2 0
2.348, 38.33, 5, 2 0 0
2.064, 43.86, 28, 0 2 2
2.060, 43.96, 14, 2 -2 2
1.620, 56.82, 15, 2 -2 4
1.497, 61.98, 7, 2 0 4
1.421, 65.69, 7, 2 -4 0
1.367, 68.64, 6, 2 -4 2

abc: 5.685 5.687 10.551
angles: 90.20 105.54 119.64
Space group P-1 (No. 2)
Inequivalent atoms, fractional coordinates:
Li: 0.015 0.261 0.250 x2
Co: 0.000 0.000 0.000 x1
Co: 0.000 0.000 0.500 x1
Co: 0.000 0.500 0.000 x1
Co: 0.000 0.500 0.500 x1
Co: 0.500 0.000 0.000 x1
Co: 0.500 0.500 0.500 x1
Ni: 0.500 0.000 0.500 x1
Ni: 0.500 0.500 0.000 x1
O: 0.207 0.353 0.102 x2
O: 0.221 0.861 0.595 x2
O: 0.230 0.865 0.095 x2
O: 0.231 0.365 0.595 x2
O: 0.251 0.607 0.400 x2
O: 0.263 0.140 0.404 x2
O: 0.266 0.126 0.905 x2
O: 0.267 0.640 0.905 x2

No. 4
For Li3Co2NiO6, a crystal structure in the Materials Project, relaxed with GGA+U gives the simulated powder XRD pattern in this record (Cu Kα X-rays).

The 10 most intense peaks (2θ from 10° to 80°), in order of rising 2θ:
d_spacing, two_theta, intensity, index
4.810, 18.45, 100, 0 0 3
2.485, 36.15, 42, 1 0 1
2.405, 37.39, 6, 0 0 6
2.381, 37.79, 15, 0 1 2
2.067, 43.80, 73, 1 0 4
1.899, 47.90, 14, 0 1 5
1.596, 57.76, 14, 1 0 7
1.467, 63.40, 20, 0 1 8
1.456, 63.93, 20, 1 1 0
1.394, 67.17, 14, 1 1 3

abc: 2.9124 2.9124 14.4293
angles: 90.00 90.00 120.00
Space group P-3m1 (No. 164)
Inequivalent atoms, fractional coordinates:
Li: 0.0000 0.0000 0.0000 x1
Li: 0.3333 0.6667 0.6639 x2
Co: 0.3333 0.6667 0.1662 x2
Ni: 0.0000 0.0000 0.5000 x1
O: 0.0000 0.0000 0.2392 x2
O: 0.3333 0.6667 0.4241 x2
O: 0.3333 0.6667 0.9088 x2

No. 5
For Li2Co3NiO8, a crystal structure in the Materials Project, relaxed with GGA+U gives the simulated powder XRD pattern in this record (Cu Kα X-rays).

The 10 most intense peaks (2θ from 10° to 80°), in order of rising 2θ:
d_spacing, two_theta, intensity, index
4.728, 18.77, 81, 0 0 2
4.338, 20.47, 100, 1 0 1
3.396, 26.24, 34, 1 0 2
2.648, 33.85, 41, 1 0 3
2.421, 37.13, 62, 1 1 2
2.364, 38.07, 66, 2 0 1
2.169, 41.63, 34, 2 0 2
1.930, 47.08, 58, 2 0 3
1.495, 62.08, 49, 2 0 5
1.410, 66.31, 39, 2 2 0

abc: 5.6383 5.6383 9.4550
angles: 90.00 90.00 120.00
Space group P6_3mc (No. 186)
Inequivalent atoms, fractional coordinates:
Li: 0.0000 0.0000 0.0000 x2
Li: 0.3333 0.6667 0.3953 x2
Co: 0.1685 0.3370 0.7163 x6
Ni: 0.3333 0.6667 0.9924 x2
O: 0.0000 0.0000 0.3147 x2
O: 0.0361 0.5180 0.8283 x6
O: 0.1581 0.3163 0.1117 x6
O: 0.3333 0.6667 0.6104 x2

No. 6
For Li3Co2NiO6, a crystal structure in the Materials Project, relaxed with GGA+U gives the simulated powder XRD pattern in this record (Cu Kα X-rays).

The 10 most intense peaks (2θ from 10° to 80°), in order of rising 2θ:
d_spacing, two_theta, intensity, index
4.760, 18.64, 100, 0 1 -1
2.470, 36.37, 14, 0 1 5
2.447, 36.72, 13, 1 1 2
2.446, 36.75, 13, -1 1 2
2.349, 38.32, 10, 1 0 3
2.056, 44.04, 23, 0 0 6
2.037, 44.49, 46, 1 2 1
1.877, 48.49, 13, 0 3 3
1.452, 64.15, 12, 1 2 -5
1.442, 64.62, 12, 1 2 7

abc: 2.861 5.799 12.649
angles: 77.28 89.95 89.98
Space group P1 (No. 1)
Inequivalent atoms, fractional coordinates:
Li: 0.000 0.000 0.000 x1
Li: 0.000 0.318 0.346 x1
Li: 0.500 0.152 0.174 x1
Li: 0.500 0.492 0.513 x1
Li: 0.500 0.824 0.832 x1
Li: 0.999 0.653 0.668 x1
Co: 0.001 0.488 0.007 x1
Co: 0.500 0.991 0.506 x1
Co: 0.501 0.656 0.170 x1
Co: 0.999 0.156 0.671 x1
Ni: 0.001 0.822 0.341 x1
Ni: 0.500 0.323 0.838 x1
O: 0.000 0.764 0.505 x1
O: 0.001 0.438 0.165 x1
O: 0.001 0.875 0.168 x1
O: 0.002 0.557 0.853 x1
O: 0.498 0.381 0.672 x1
O: 0.499 0.933 0.663 x1
O: 0.501 0.062 0.348 x1
O: 0.501 0.586 0.321 x1
O: 0.501 0.711 0.016 x1
O: 0.502 0.264 0.009 x1
O: 0.997 0.087 0.828 x1
O: 0.999 0.214 0.514 x1

No. 7
For Li3CoNi3O8, a crystal structure in the Materials Project, relaxed with GGA+U gives the simulated powder XRD pattern in this record (Cu Kα X-rays).

The 10 most intense peaks (2θ from 10° to 80°), in order of rising 2θ:
d_spacing, two_theta, intensity, index
4.795, 18.50, 100, 0 0 3
2.458, 36.55, 39, 0 2 1
2.397, 37.51, 5, 0 0 6
2.357, 38.18, 13, 2 0 2
2.050, 44.18, 62, 0 2 4
1.885, 48.28, 13, 2 0 5
1.586, 58.16, 15, 0 2 7
1.459, 63.81, 17, 2 0 8
1.441, 64.71, 17, 2 2 0
1.380, 67.95, 14, 2 2 3

abc: 5.7621 5.7621 14.3846
angles: 90.00 90.00 120.00
Space group R-3m (No. 166, hexagonal axes)
Inequivalent atoms, fractional coordinates:
Li: 0.0000 0.5000 0.0000 x9
Co: 0.0000 0.0000 0.5000 x3
Ni: 0.0000 0.5000 0.5000 x9
O: 0.0000 0.0000 0.2394 x6
O: 0.0210 0.5105 0.2388 x18

No. 8
For Li2CoNiO4, a crystal structure in the Materials Project, relaxed with GGA+U gives the simulated powder XRD pattern in this record (Cu Kα X-rays).

The 10 most intense peaks (2θ from 10° to 80°), in order of rising 2θ:
d_spacing, two_theta, intensity, index
4.779, 18.57, 100, 0 0 1
2.544, 35.28, 19, 1 -1 0
2.506, 35.83, 15, 1 1 0
2.485, 36.14, 13, 0 2 -1
2.389, 37.66, 11, 0 0 2
2.114, 42.77, 27, -1 1 1
2.064, 43.87, 25, 1 1 1
2.058, 43.99, 23, 0 2 -2
1.585, 58.19, 10, 0 2 -3
1.487, 62.44, 7, 2 0 0

abc: 2.976 5.054 5.057
angles: 109.04 91.05 90.57
Space group P-1 (No. 2)
Inequivalent atoms, fractional coordinates:
Li: 0.000 0.000 0.000 x1
Li: 0.500 0.500 0.000 x1
Co: 0.000 0.500 0.500 x1
Ni: 0.500 0.000 0.500 x1
O: 0.012 0.269 0.714 x2
O: 0.457 0.739 0.740 x2

No. 9
For Li2CoNiO4, a crystal structure in the Materials Project, relaxed with GGA+U gives the simulated powder XRD pattern in this record (Cu Kα X-rays).

The 10 most intense peaks (2θ from 10° to 80°), in order of rising 2θ:
d_spacing, two_theta, intensity, index
4.784, 18.55, 100, 0 0 1
2.501, 35.91, 30, 2 2 0
2.477, 36.27, 14, 4 0 -1
2.392, 37.60, 16, 0 0 2
2.074, 43.64, 50, 2 2 1
2.057, 44.02, 24, 4 0 -2
1.900, 47.86, 10, 2 2 -2
1.596, 57.75, 10, 2 2 2
1.464, 63.56, 20, 4 0 2
1.457, 63.89, 13, 6 2 -1

abc: 10.064 5.882 5.065
angles: 90.00 109.17 90.00
Space group C2/m (No. 12)
Inequivalent atoms, fractional coordinates:
Li: 0.000 0.248 0.000 x4
Li: 0.248 0.000 0.996 x4
Co: 0.000 0.000 0.500 x2
Co: 0.000 0.500 0.500 x2
Ni: 0.250 0.250 0.500 x4
O: 0.115 0.236 0.729 x8
O: 0.120 0.000 0.282 x4
O: 0.120 0.500 0.277 x4

No. 10
For LiCoNiO4, a crystal structure in the Materials Project, relaxed with GGA+U gives the simulated powder XRD pattern in this record (Cu Kα X-rays).

The 10 most intense peaks (2θ from 10° to 80°), in order of rising 2θ:
d_spacing, two_theta, intensity, index
4.651, 19.08, 100, 0 1 1
2.431, 36.97, 31, 2 1 1
2.424, 37.09, 15, 0 1 3
2.325, 38.72, 14, 2 0 2
2.017, 44.95, 34, 2 2 0
2.008, 45.15, 17, 0 0 4
1.847, 49.34, 9, 2 1 3
1.552, 59.56, 13, 2 3 1
1.423, 65.59, 25, 4 0 0
1.362, 68.95, 7, 4 1 1

abc: 5.696 5.712 8.033
angles: 90.00 90.00 90.00
Space group Imma (No. 74)
Inequivalent atoms, fractional coordinates:
Li: 0.000 0.250 0.121 x4
Co: 0.000 0.000 0.500 x4
Ni: 0.250 0.250 0.750 x4
O: 0.000 0.030 0.738 x8
O: 0.223 0.250 0.516 x8

No. 11
For Li2Co3NiO8, a crystal structure in the Materials Project, relaxed with GGA+U gives the simulated powder XRD pattern in this record (Cu Kα X-rays).

The 10 most intense peaks (2θ from 10° to 80°), in order of rising 2θ:
d_spacing, two_theta, intensity, index
4.888, 18.15, 100, 0 0 2
2.456, 36.58, 11, 0 2 0
2.412, 37.29, 10, 2 0 0
2.394, 37.57, 10, 2 2 2
2.074, 43.64, 17, 0 2 -2
2.030, 44.63, 16, 2 0 -2
2.015, 45.00, 16, 2 2 4
1.884, 48.31, 6, 2 0 4
1.616, 56.98, 5, 0 2 -4
1.472, 63.17, 9, 2 0 6

abc: 5.601 5.685 10.261
angles: 75.18 74.46 60.91
Space group P-1 (No. 2)
Inequivalent atoms, fractional coordinates:
Li: 0.243 0.259 0.247 x2
Li: 0.248 0.254 0.747 x2
Co: 0.000 0.000 0.000 x1
Co: 0.000 0.000 0.500 x1
Co: 0.000 0.500 0.000 x1
Co: 0.500 0.000 0.500 x1
Co: 0.500 0.500 0.000 x1
Co: 0.500 0.500 0.500 x1
Ni: 0.000 0.500 0.500 x1
Ni: 0.500 0.000 0.000 x1
O: 0.128 0.144 0.597 x2
O: 0.135 0.137 0.097 x2
O: 0.142 0.602 0.609 x2
O: 0.146 0.607 0.108 x2
O: 0.363 0.362 0.401 x2
O: 0.370 0.355 0.901 x2
O: 0.373 0.857 0.399 x2
O: 0.378 0.862 0.897 x2